No. 1
Computed PXRD pattern
Compound: Ta2VS5
Radiation: Cu Kα, 1.54184 Å
Structure: a cell relaxed with GGA-PBE
Neutral-atom scattering factors, no anomalous dispersion.

Cell and atoms:
```
data_Ta2VS5
_chemical_formula_sum 'Ta2 V1 S5'
_symmetry_space_group_name_H-M 'P 1'
_symmetry_Int_Tables_number 1
_cell_length_a 9.2853
_cell_length_b 6.9693
_cell_length_c 6.8824
_cell_angle_alpha 84.18
_cell_angle_beta 48.31
_cell_angle_gamma 47.51
loop_
_symmetry_equiv_pos_as_xyz
'x,y,z'
loop_
_atom_site_label
_atom_site_type_symbol
_atom_site_fract_x
_atom_site_fract_y
_atom_site_fract_z
_atom_site_occupancy
Ta1 Ta 0.1849 0.8151 0.1849 1
Ta2 Ta 0.8151 0.1849 0.8151 1
V1 V 0.5000 0.5000 0.5000 1
S1 S 0.0000 0.0000 0.0000 1
S2 S 0.2236 0.5484 0.4516 1
S3 S 0.4516 0.7764 0.2236 1
S4 S 0.5484 0.2236 0.7764 1
S5 S 0.7764 0.4516 0.5484 1
```

Principal peaks in the range 10 to 90 degrees two-theta, sorted by position:
| d_spacing | intensity |
| --- | --- |
| 6.611 | 1000 |
| 6.520 | 214 |
| 4.642 | 109 |
| 3.306 | 86 |
| 3.014 | 177 |
| 2.533 | 319 |
| 2.204 | 140 |
| 2.091 | 140 |
| 2.011 | 197 |
| 2.000 | 95 |

=====

No. 2
Computed PXRD pattern
Compound: Ce3DyEr2N6
Radiation: Cu Kα, 1.54184 Å
Structure: a cell relaxed with GGA-PBE
Neutral-atom scattering factors, no anomalous dispersion.

Cell and atoms:
```
data_Ce3DyEr2N6
_chemical_formula_sum 'Ce3 Dy1 Er2 N6'
_symmetry_space_group_name_H-M 'P 1'
_symmetry_Int_Tables_number 1
_cell_length_a 6.0684
_cell_length_b 6.0684
_cell_length_c 6.0808
_cell_angle_alpha 99.58
_cell_angle_beta 99.58
_cell_angle_gamma 120.00
loop_
_symmetry_equiv_pos_as_xyz
'x,y,z'
loop_
_atom_site_label
_atom_site_type_symbol
_atom_site_fract_x
_atom_site_fract_y
_atom_site_fract_z
_atom_site_occupancy
Ce1 Ce 0.0000 0.0000 0.0000 1
Ce2 Ce 0.3333 0.6667 0.0000 1
Ce3 Ce 0.6667 0.3333 0.0000 1
Dy1 Dy 0.5000 0.5000 0.5000 1
Er1 Er 0.1667 0.8333 0.5000 1
Er2 Er 0.8333 0.1667 0.5000 1
N1 N 0.0823 0.4181 0.2544 1
N2 N 0.2459 0.2459 0.7451 1
N3 N 0.4181 0.0823 0.2544 1
N4 N 0.5819 0.9177 0.7456 1
N5 N 0.7541 0.7541 0.2549 1
N6 N 0.9177 0.5819 0.7456 1
```

Principal peaks in the range 10 to 90 degrees two-theta, sorted by position:
| d_spacing | intensity |
| --- | --- |
| 2.863 | 1000 |
| 2.479 | 728 |
| 1.753 | 501 |
| 1.495 | 336 |
| 1.494 | 112 |
| 1.431 | 126 |
| 1.138 | 80 |
| 1.137 | 111 |
| 1.109 | 113 |
| 1.108 | 113 |

=====

No. 3
Computed PXRD pattern
Compound: YZrC2
Radiation: Cu Kα, 1.54184 Å
Structure: a cell relaxed with GGA-PBE
Neutral-atom scattering factors, no anomalous dispersion.

Cell and atoms:
```
data_YZrC2
_chemical_formula_sum 'Y1 Zr1 C2'
_symmetry_space_group_name_H-M 'P 1'
_symmetry_Int_Tables_number 1
_cell_length_a 6.0385
_cell_length_b 6.0385
_cell_length_c 6.0385
_cell_angle_alpha 33.77
_cell_angle_beta 33.77
_cell_angle_gamma 33.77
loop_
_symmetry_equiv_pos_as_xyz
'x,y,z'
loop_
_atom_site_label
_atom_site_type_symbol
_atom_site_fract_x
_atom_site_fract_y
_atom_site_fract_z
_atom_site_occupancy
Y1 Y 0.0000 0.0000 0.0000 1
Zr1 Zr 0.8250 0.8250 0.8250 1
C1 C 0.4211 0.4211 0.4211 1
C2 C 0.5650 0.5650 0.5650 1
```

Principal peaks in the range 10 to 90 degrees two-theta, sorted by position:
| d_spacing | intensity |
| --- | --- |
| 2.991 | 1000 |
| 2.862 | 379 |
| 2.844 | 389 |
| 2.475 | 340 |
| 2.269 | 760 |
| 1.901 | 331 |
| 1.754 | 421 |
| 1.493 | 334 |
| 1.388 | 147 |
| 1.105 | 154 |

=====

No. 4
Computed PXRD pattern
Compound: AcCu3Si3
Radiation: Cu Kα, 1.54184 Å
Structure: a cell relaxed with GGA-PBE
Neutral-atom scattering factors, no anomalous dispersion.

Cell and atoms:
```
data_AcCu3Si3
_chemical_formula_sum 'Ac2 Cu6 Si6'
_symmetry_space_group_name_H-M 'P 1'
_symmetry_Int_Tables_number 1
_cell_length_a 8.6223
_cell_length_b 8.6223
_cell_length_c 8.6223
_cell_angle_alpha 41.50
_cell_angle_beta 41.50
_cell_angle_gamma 41.50
loop_
_symmetry_equiv_pos_as_xyz
'x,y,z'
loop_
_atom_site_label
_atom_site_type_symbol
_atom_site_fract_x
_atom_site_fract_y
_atom_site_fract_z
_atom_site_occupancy
Ac1 Ac 0.1782 0.1782 0.1782 1
Ac2 Ac 0.8218 0.8218 0.8218 1
Cu1 Cu 0.0789 0.2532 0.5781 1
Cu2 Cu 0.2532 0.5781 0.0789 1
Cu3 Cu 0.4219 0.9211 0.7468 1
Cu4 Cu 0.5781 0.0789 0.2532 1
Cu5 Cu 0.7468 0.4219 0.9211 1
Cu6 Cu 0.9211 0.7468 0.4219 1
Si1 Si 0.1991 0.3683 0.6650 1
Si2 Si 0.3350 0.8009 0.6317 1
Si3 Si 0.3683 0.6650 0.1991 1
Si4 Si 0.6317 0.3350 0.8009 1
Si5 Si 0.6650 0.1991 0.3683 1
Si6 Si 0.8009 0.6317 0.3350 1
```

Principal peaks in the range 10 to 90 degrees two-theta, sorted by position:
| d_spacing | intensity |
| --- | --- |
| 4.828 | 530 |
| 3.935 | 214 |
| 3.523 | 200 |
| 2.848 | 1000 |
| 2.578 | 508 |
| 2.413 | 420 |
| 2.308 | 168 |
| 1.991 | 508 |
| 1.655 | 190 |
| 1.463 | 191 |

=====

No. 5
Computed PXRD pattern
Compound: CePm5Sm6
Radiation: Cu Kα, 1.54184 Å
Structure: a cell relaxed with GGA-PBE
Neutral-atom scattering factors, no anomalous dispersion.

Cell and atoms:
```
data_CePm5Sm6
_chemical_formula_sum 'Ce1 Pm5 Sm6'
_symmetry_space_group_name_H-M 'P 1'
_symmetry_Int_Tables_number 1
_cell_length_a 9.6051
_cell_length_b 9.6051
_cell_length_c 5.1332
_cell_angle_alpha 105.46
_cell_angle_beta 105.46
_cell_angle_gamma 64.65
loop_
_symmetry_equiv_pos_as_xyz
'x,y,z'
loop_
_atom_site_label
_atom_site_type_symbol
_atom_site_fract_x
_atom_site_fract_y
_atom_site_fract_z
_atom_site_occupancy
Ce1 Ce 0.0000 0.0000 0.0000 1
Pm1 Pm 0.1649 0.1649 0.6648 1
Pm2 Pm 0.3331 0.3331 0.3331 1
Pm3 Pm 0.5000 0.5000 0.0000 1
Pm4 Pm 0.6669 0.6669 0.6669 1
Pm5 Pm 0.8351 0.8351 0.3352 1
Sm1 Sm 0.0830 0.5863 0.8346 1
Sm2 Sm 0.2470 0.7530 0.5000 1
Sm3 Sm 0.4137 0.9170 0.1654 1
Sm4 Sm 0.5863 0.0830 0.8346 1
Sm5 Sm 0.7530 0.2470 0.5000 1
Sm6 Sm 0.9170 0.4137 0.1654 1
```

Principal peaks in the range 10 to 90 degrees two-theta, sorted by position:
| d_spacing | intensity |
| --- | --- |
| 2.964 | 1000 |
| 2.567 | 506 |
| 1.815 | 362 |
| 1.548 | 430 |
| 1.482 | 124 |
| 1.284 | 57 |
| 1.178 | 176 |
| 1.148 | 164 |

=====

No. 6
Computed PXRD pattern
Compound: CeHoTmAl
Radiation: Cu Kα, 1.54184 Å
Structure: a cell relaxed with GGA-PBE
Neutral-atom scattering factors, no anomalous dispersion.

Cell and atoms:
```
data_CeHoTmAl
_chemical_formula_sum 'Ce1 Ho1 Tm1 Al1'
_symmetry_space_group_name_H-M 'P 1'
_symmetry_Int_Tables_number 1
_cell_length_a 5.2983
_cell_length_b 5.2983
_cell_length_c 5.2983
_cell_angle_alpha 60.00
_cell_angle_beta 60.00
_cell_angle_gamma 60.00
loop_
_symmetry_equiv_pos_as_xyz
'x,y,z'
loop_
_atom_site_label
_atom_site_type_symbol
_atom_site_fract_x
_atom_site_fract_y
_atom_site_fract_z
_atom_site_occupancy
Ce1 Ce 0.0000 0.0000 0.0000 1
Ho1 Ho 0.5000 0.5000 0.5000 1
Tm1 Tm 0.2500 0.2500 0.2500 1
Al1 Al 0.7500 0.7500 0.7500 1
```

Principal peaks in the range 10 to 90 degrees two-theta, sorted by position:
| d_spacing | intensity |
| --- | --- |
| 4.326 | 187 |
| 3.746 | 57 |
| 2.649 | 1000 |
| 2.259 | 106 |
| 1.873 | 181 |
| 1.719 | 46 |
| 1.529 | 376 |
| 1.442 | 35 |
| 1.325 | 116 |
| 1.185 | 163 |